# 1
Starting from a cell relaxed with GGA-PBE, the powder diffraction line list of K3Ag4F12 was calculated for CuKα.
Neutral-atom scattering factors, no anomalous dispersion.

Top 10 peaks for 10 to 90 degrees two-theta, by angle:
hkl	d (Å)	I/Imax
2 0 0	4.328	80
2 2 0	3.060	100
4 0 0	2.164	47
4 0 2	1.936	35
4 2 2	1.767	40
4 4 0	1.530	27
4 4 2	1.443	15
6 0 2	1.369	16
4 4 4	1.249	8
6 4 2	1.157	20

Cell and atoms:
```
data_K3Ag4F12
_chemical_formula_sum 'K6 Ag8 F24'
_cell_length_a 8.656
_cell_length_b 8.656
_cell_length_c 8.656
_cell_angle_alpha 90.00
_cell_angle_beta 90.00
_cell_angle_gamma 90.00
_symmetry_space_group_name_H-M 'I m -3'
_symmetry_Int_Tables_number 204
_symmetry_space_group_name_Hall '-I 2 2 3'
loop_
_atom_site_label
_atom_site_type_symbol
_atom_site_fract_x
_atom_site_fract_y
_atom_site_fract_z
K1 K 0.000 0.000 0.500
Ag1 Ag 0.250 0.250 0.250
F1 F 0.000 0.273 0.247
```


# 2
Starting from a cell relaxed with GGA-PBE, the powder diffraction line list of K2Ag3F10 was calculated for CuKα.
Neutral-atom scattering factors, no anomalous dispersion.

Top 10 peaks for 10 to 90 degrees two-theta, by angle:
hkl	d (Å)	I/Imax
0 0 1	7.869	44
1 1 0	6.138	80
0 0 2	3.934	97
1 1 -2	3.508	100
3 1 -2	3.433	47
5 1 -1	3.355	48
6 0 -1	3.282	81
2 2 -1	2.984	42
6 2 -1	2.312	74
2 2 3	1.885	35

Cell and atoms:
```
data_K2Ag3F10
_chemical_formula_sum 'K8 Ag12 F40'
_cell_length_a 19.700
_cell_length_b 6.512
_cell_length_c 8.438
_cell_angle_alpha 90.00
_cell_angle_beta 111.17
_cell_angle_gamma 90.00
_symmetry_space_group_name_H-M 'C 1 2/m 1'
_symmetry_Int_Tables_number 12
loop_
_symmetry_equiv_pos_as_xyz
'x,y,z'
'-x,-y,-z'
'-x,y,-z'
'x,-y,z'
'x+1/2,y+1/2,z'
'-x+1/2,-y+1/2,-z'
'-x+1/2,y+1/2,-z'
'x+1/2,-y+1/2,z'
loop_
_atom_site_label
_atom_site_type_symbol
_atom_site_fract_x
_atom_site_fract_y
_atom_site_fract_z
K1 K 0.118 0.000 0.225
K2 K 0.212 0.000 0.835
Ag1 Ag 0.000 0.245 0.500
Ag2 Ag 0.081 0.500 0.982
Ag3 Ag 0.184 0.500 0.528
F1 F 0.000 0.296 0.000
F2 F 0.013 0.000 0.684
F3 F 0.019 0.500 0.680
F4 F 0.114 0.247 0.544
F5 F 0.133 0.500 0.275
F6 F 0.153 0.273 0.996
F7 F 0.240 0.500 0.778
F8 F 0.250 0.250 0.500
```


# 3
Starting from a cell relaxed with GGA-PBE, the powder diffraction line list of K5AgF6 was calculated for CuKα.
Neutral-atom scattering factors, no anomalous dispersion.

Top 10 peaks for 10 to 90 degrees two-theta, by angle:
hkl	d (Å)	I/Imax
1 1 0	5.429	17
1 1 -1	4.807	12
2 0 0	3.086	63
1 3 1	2.685	100
2 0 -2	2.650	48
2 0 2	1.898	32
3 3 -1	1.886	62
1 3 3	1.617	17
4 0 0	1.544	22
5 3 1	1.094	13

Cell and atoms:
```
data_K5AgF6
_chemical_formula_sum 'K10 Ag2 F12'
_cell_length_a 6.523
_cell_length_b 11.399
_cell_length_c 6.514
_cell_angle_alpha 90.00
_cell_angle_beta 108.83
_cell_angle_gamma 90.00
_symmetry_space_group_name_H-M 'C 1 2/m 1'
_symmetry_Int_Tables_number 12
loop_
_symmetry_equiv_pos_as_xyz
'x,y,z'
'-x,-y,-z'
'-x,y,-z'
'x,-y,z'
'x+1/2,y+1/2,z'
'-x+1/2,-y+1/2,-z'
'-x+1/2,y+1/2,-z'
'x+1/2,-y+1/2,z'
loop_
_atom_site_label
_atom_site_type_symbol
_atom_site_fract_x
_atom_site_fract_y
_atom_site_fract_z
K1 K 0.000 0.000 0.000
K2 K 0.000 0.169 0.500
K3 K 0.000 0.336 0.000
Ag1 Ag 0.000 0.500 0.500
F1 F 0.236 0.500 0.266
F2 F 0.249 0.336 0.751
```


# 4
Starting from a cell relaxed with GGA-PBE, the powder diffraction line list of K2AgF4 was calculated for CuKα.
Neutral-atom scattering factors, no anomalous dispersion.

Top 10 peaks for 10 to 90 degrees two-theta, by angle:
hkl	d (Å)	I/Imax
0 2 0	6.570	86
1 1 1	4.200	61
0 0 2	3.233	40
1 3 1	3.116	100
2 0 0	3.044	40
1 5 1	2.261	39
2 0 2	2.216	55
0 6 0	2.190	22
1 3 3	1.843	25
2 6 2	1.558	34

Cell and atoms:
```
data_K2AgF4
_chemical_formula_sum 'K8 Ag4 F16'
_cell_length_a 6.087
_cell_length_b 13.141
_cell_length_c 6.466
_cell_angle_alpha 90.00
_cell_angle_beta 90.00
_cell_angle_gamma 90.00
_symmetry_space_group_name_H-M 'C m c e'
_symmetry_Int_Tables_number 64
_symmetry_space_group_name_Hall '-C 2ac 2'
loop_
_atom_site_label
_atom_site_type_symbol
_atom_site_fract_x
_atom_site_fract_y
_atom_site_fract_z
K1 K 0.000 0.143 0.024
Ag1 Ag 0.000 0.000 0.500
F1 F 0.000 0.165 0.436
F2 F 0.250 0.020 0.750
```


# 5
Starting from a cell relaxed with GGA-PBE, the powder diffraction line list of K6AgF8 was calculated for CuKα.
Neutral-atom scattering factors, no anomalous dispersion.

Top 10 peaks for 10 to 90 degrees two-theta, by angle:
hkl	d (Å)	I/Imax
1 0 0	6.641	44
1 0 1	4.318	100
2 0 0	3.321	23
1 1 1	3.178	36
2 0 1	2.867	16
3 -1 1	2.296	59
2 -1 2	2.283	78
3 0 0	2.214	55
3 1 1	1.752	28
2 2 2	1.589	15

Cell and atoms:
```
data_K6AgF8
_chemical_formula_sum 'K6 Ag1 F8'
_cell_length_a 7.6685
_cell_length_b 7.6685
_cell_length_c 5.6831
_cell_angle_alpha 90.00
_cell_angle_beta 90.00
_cell_angle_gamma 120.00
_symmetry_space_group_name_H-M 'P -3 1 m'
_symmetry_Int_Tables_number 162
_symmetry_space_group_name_Hall '-P 3 2'
loop_
_atom_site_label
_atom_site_type_symbol
_atom_site_fract_x
_atom_site_fract_y
_atom_site_fract_z
K1 K 0.0000 0.3790 0.2221
Ag1 Ag 0.0000 0.0000 0.5000
F1 F 0.0000 0.2640 0.6940
F2 F 0.3333 0.6667 0.0000
```


# 6
Starting from a cell relaxed with GGA-PBE, the powder diffraction line list of KLiAgF6 was calculated for CuKα.
Neutral-atom scattering factors, no anomalous dispersion.

Top 10 peaks for 10 to 90 degrees two-theta, by angle:
hkl	d (Å)	I/Imax
0 0 1	5.816	99
1 1 0	4.732	86
0 2 0	4.585	43
1 1 -1	3.696	100
1 1 1	3.645	95
0 2 1	3.601	85
1 3 1	2.423	32
2 0 -2	2.019	29
1 3 2	1.961	52
3 3 0	1.577	33

Cell and atoms:
```
data_KLiAgF6
_chemical_formula_sum 'K2 Li2 Ag2 F12'
_cell_length_a 5.524
_cell_length_b 9.171
_cell_length_c 5.817
_cell_angle_alpha 90.00
_cell_angle_beta 90.95
_cell_angle_gamma 90.00
_symmetry_space_group_name_H-M 'C 1 2 1'
_symmetry_Int_Tables_number 5
loop_
_symmetry_equiv_pos_as_xyz
'x,y,z'
'-x,y,-z'
'x+1/2,y+1/2,z'
'-x+1/2,y+1/2,-z'
loop_
_atom_site_label
_atom_site_type_symbol
_atom_site_fract_x
_atom_site_fract_y
_atom_site_fract_z
K1 K 0.000 0.000 0.000
Li1 Li 0.000 0.680 0.500
Ag1 Ag 0.000 0.337 0.500
F1 F 0.133 0.497 0.689
F2 F 0.171 0.190 0.688
F3 F 0.182 0.813 0.705
```


# 7
Starting from a cell relaxed with GGA-PBE, the powder diffraction line list of KLiAg2F8 was calculated for CuKα.
Neutral-atom scattering factors, no anomalous dispersion.

Top 10 peaks for 10 to 90 degrees two-theta, by angle:
hkl	d (Å)	I/Imax
1 0 1	5.103	100
1 1 2	3.229	88
2 0 0	2.948	55
0 0 4	2.557	45
2 1 1	2.550	26
2 2 0	2.082	33
2 0 4	1.931	21
1 3 2	1.749	52
2 2 4	1.615	22
1 3 6	1.257	15

Cell and atoms:
```
data_KLiAg2F8
_chemical_formula_sum 'K2 Li2 Ag4 F16'
_cell_length_a 5.887
_cell_length_b 5.887
_cell_length_c 10.232
_cell_angle_alpha 90.00
_cell_angle_beta 90.00
_cell_angle_gamma 90.00
_symmetry_space_group_name_H-M 'I -4'
_symmetry_Int_Tables_number 82
loop_
_symmetry_equiv_pos_as_xyz
'x,y,z'
'y,-x,-z'
'-x,-y,z'
'-y,x,-z'
'x+1/2,y+1/2,z+1/2'
'y+1/2,-x+1/2,-z+1/2'
'-x+1/2,-y+1/2,z+1/2'
'-y+1/2,x+1/2,-z+1/2'
loop_
_atom_site_label
_atom_site_type_symbol
_atom_site_fract_x
_atom_site_fract_y
_atom_site_fract_z
K1 K 0.000 0.000 0.000
Li1 Li 0.000 0.500 0.750
Ag1 Ag 0.000 0.000 0.500
Ag2 Ag 0.000 0.500 0.250
F1 F 0.088 0.319 0.509
F2 F 0.178 0.213 0.246
```


# 8
Starting from a cell relaxed with GGA-PBE, the powder diffraction line list of KNaAgF4 was calculated for CuKα.
Neutral-atom scattering factors, no anomalous dispersion.

Top 10 peaks for 10 to 90 degrees two-theta, by angle:
hkl	d (Å)	I/Imax
0 2 0	6.403	100
1 1 1	4.139	91
0 0 2	3.099	43
2 0 0	3.086	42
1 3 1	3.055	89
1 5 1	2.210	44
2 0 2	2.187	63
0 6 0	2.134	23
2 2 2	2.070	22
2 6 2	1.527	28

Cell and atoms:
```
data_KNaAgF4
_chemical_formula_sum 'K4 Na4 Ag4 F16'
_cell_length_a 6.173
_cell_length_b 12.805
_cell_length_c 6.199
_cell_angle_alpha 90.00
_cell_angle_beta 90.00
_cell_angle_gamma 90.00
_symmetry_space_group_name_H-M 'C m c m'
_symmetry_Int_Tables_number 63
_symmetry_space_group_name_Hall '-C 2c 2'
loop_
_atom_site_label
_atom_site_type_symbol
_atom_site_fract_x
_atom_site_fract_y
_atom_site_fract_z
K1 K 0.000 0.107 0.250
Na1 Na 0.000 0.394 0.250
Ag1 Ag 0.000 0.257 0.750
F1 F 0.000 0.086 0.750
F2 F 0.000 0.432 0.750
F3 F 0.250 0.250 0.000
```


# 9
Starting from a cell relaxed with GGA-PBE, the powder diffraction line list of KNaAg2F4 was calculated for CuKα.
Neutral-atom scattering factors, no anomalous dispersion.

Top 10 peaks for 10 to 90 degrees two-theta, by angle:
hkl	d (Å)	I/Imax
1 1 0	5.948	60
1 1 -1	5.888	52
1 3 0	3.248	49
2 2 0	2.974	95
2 2 -2	2.944	97
0 4 0	2.746	100
0 0 2	2.673	98
4 0 -2	2.329	65
0 4 2	1.915	61
4 4 -2	1.776	48

Cell and atoms:
```
data_KNaAg2F4
_chemical_formula_sum 'K4 Na4 Ag8 F16'
_cell_length_a 9.318
_cell_length_b 10.983
_cell_length_c 7.042
_cell_angle_alpha 90.00
_cell_angle_beta 130.60
_cell_angle_gamma 90.00
_symmetry_space_group_name_H-M 'C 1 2/c 1'
_symmetry_Int_Tables_number 15
loop_
_symmetry_equiv_pos_as_xyz
'x,y,z'
'-x,-y,-z'
'-x,y,-z+1/2'
'x,-y,z+1/2'
'x+1/2,y+1/2,z'
'-x+1/2,-y+1/2,-z'
'-x+1/2,y+1/2,-z+1/2'
'x+1/2,-y+1/2,z+1/2'
loop_
_atom_site_label
_atom_site_type_symbol
_atom_site_fract_x
_atom_site_fract_y
_atom_site_fract_z
K1 K 0.250 0.250 0.000
Na1 Na 0.000 0.000 0.000
Ag1 Ag 0.000 0.500 0.000
Ag2 Ag 0.250 0.250 0.500
F1 F 0.026 0.210 0.513
F2 F 0.242 0.009 0.946
```